For Li3Hg3Pb, a DFT-relaxed cell (GGA-PBE, Alexandria) gives the calculated powder diffraction line list in this record (CuKα).
Intensities are scaled so that the largest is 100.

Largest 10 diffraction maxima, sorted by position, 5° ≤ 2θ ≤ 70°:
2θ 26.62, rel. 56, (0 0 2)
2θ 27.02, rel. 100, (2 2 0)
2θ 37.98, rel. 23, (0 4 0)
2θ 38.29, rel. 88, (2 2 2)
2θ 39.17, rel. 18, (4 0 0)
2θ 46.98, rel. 23, (0 4 2)
2θ 47.99, rel. 18, (4 0 2)
2θ 62.15, rel. 29, (2 2 4)
2θ 62.77, rel. 15, (4 4 2)
2θ 68.81, rel. 14, (2 6 2)

Atomic structure:
```
data_Li3Hg3Pb
_cell_length_a 9.199
_cell_length_b 9.478
_cell_length_c 6.698
_cell_angle_alpha 90.00
_cell_angle_beta 90.00
_cell_angle_gamma 90.00
_symmetry_space_group_name_H-M 'C m m m'
_symmetry_Int_Tables_number 65
_symmetry_space_group_name_Hall '-C 2 2'
loop_
_atom_site_label
_atom_site_fract_x
_atom_site_fract_y
_atom_site_fract_z
Li1 0.000 0.000 0.237
Li2 0.250 0.250 0.242
Hg1 0.000 0.232 0.500
Hg2 0.000 0.261 0.000
Hg3 0.237 0.500 0.000
Pb1 0.213 0.500 0.500
```